Starting from DFT lattice parameters and positions (GGA-PBE), the XRD peak list of AcYAg2S4 was simulated for Cu Kα (weighted mean of Kα1 and Kα2).
Peak positions follow from Bragg's law for the DFT cell and can differ from measured ones.

Principal peaks in the range 2θ from 10° to 90°, low angle first:
2θ/deg  intensity  index
16.93  38  1 0 1
25.32  26  0 2 0
26.11  25  2 0 0
28.46  100  1 1 2
30.62  23  1 2 1
35.35  19  0 1 3
36.70  52  2 2 0
44.48  16  2 1 3
46.61  26  1 3 2
47.55  25  3 1 2
48.29  17  1 1 4
58.58  10  2 3 3

Crystal structure
```
data_AcYAg2S4
_space_group_name_H-M_alt 'I 2 2 2'
_space_group_IT_number 23
_cell_length_a 6.8245
_cell_length_b 7.0337
_cell_length_c 8.1672
_cell_angle_alpha 90.00
_cell_angle_beta 90.00
_cell_angle_gamma 90.00
loop_
_space_group_symop_operation_xyz
'x,y,z'
'-x,-y,z'
'x,-y,-z'
'-x,y,-z'
'x+1/2,y+1/2,z+1/2'
'-x+1/2,-y+1/2,z+1/2'
'x+1/2,-y+1/2,-z+1/2'
'-x+1/2,y+1/2,-z+1/2'
loop_
_atom_site_label
_atom_site_fract_x
_atom_site_fract_y
_atom_site_fract_z
Ac1 0.0000 0.0000 0.0000
Y1 0.0000 0.0000 0.5000
Ag1 0.0000 0.5000 0.1760
S1 0.2210 0.2266 0.3222
```